[1]
Diffraction record for HfTl2IBr5. The powder XRD pattern is theoretical, not measured: it uses a PBE-relaxed structure and Cu Ka.
Lines closer than 0.1° are merged.

```
data_HfTl2IBr5
_chemical_formula_sum 'Hf1 Tl2 I1 Br5'
_cell_length_a 8.021
_cell_length_b 8.021
_cell_length_c 8.021
_cell_angle_alpha 123.53
_cell_angle_beta 123.53
_cell_angle_gamma 83.98
_space_group_name_H-M_alt 'P 1'
_space_group_IT_number 1
_space_group_name_Hall 'P 1'
loop_
_atom_site_label
_atom_site_type_symbol
_atom_site_fract_x
_atom_site_fract_y
_atom_site_fract_z
Hf1 Hf 0.000 0.000 0.000
Tl1 Tl 0.324 0.824 0.500
Tl2 Tl 0.824 0.324 0.500
I1 I 0.243 0.243 0.000
Br1 Br 0.246 0.246 0.488
Br2 Br 0.246 0.758 0.000
Br3 Br 0.758 0.246 0.000
Br4 Br 0.758 0.758 0.512
Br5 Br 0.781 0.781 0.000
```

Most intense lines, 2θ = 10–80°, sorted by position:
- 13.83 deg, I = 50
- 22.29 deg, I = 48
- 23.44 deg, I = 33
- 27.87 deg, I = 100
- 33.40 deg, I = 81
- 34.42 deg, I = 42
- 45.48 deg, I = 28
- 47.95 deg, I = 29
- 48.71 deg, I = 32
- 56.37 deg, I = 27


[2]
Diffraction record for KRb2HfBr6. The powder XRD pattern is theoretical, not measured: it uses a PBE-relaxed structure and Cu Ka.
Lines closer than 0.1° are merged.

```
data_KRb2HfBr6
_chemical_formula_sum 'K2 Rb4 Hf2 Br12'
_cell_length_a 16.247
_cell_length_b 16.247
_cell_length_c 16.247
_cell_angle_alpha 27.84
_cell_angle_beta 27.84
_cell_angle_gamma 27.84
_space_group_name_H-M_alt 'P 1'
_space_group_IT_number 1
_space_group_name_Hall 'P 1'
loop_
_atom_site_label
_atom_site_type_symbol
_atom_site_fract_x
_atom_site_fract_y
_atom_site_fract_z
K1 K 0.085 0.085 0.085
K2 K 0.915 0.915 0.915
Rb1 Rb 0.191 0.191 0.191
Rb2 Rb 0.358 0.358 0.358
Rb3 Rb 0.642 0.642 0.642
Rb4 Rb 0.809 0.809 0.809
Hf1 Hf 0.000 0.000 0.000
Hf2 Hf 0.500 0.500 0.500
Br1 Br 0.130 0.130 0.641
Br2 Br 0.130 0.641 0.130
Br3 Br 0.212 0.694 0.694
Br4 Br 0.306 0.306 0.788
Br5 Br 0.306 0.788 0.306
Br6 Br 0.359 0.870 0.870
Br7 Br 0.641 0.130 0.130
Br8 Br 0.694 0.212 0.694
Br9 Br 0.694 0.694 0.212
Br10 Br 0.788 0.306 0.306
Br11 Br 0.870 0.359 0.870
Br12 Br 0.870 0.870 0.359
```

Most intense lines, 2θ = 10–80°, sorted by position:
- 11.34 deg, I = 100
- 13.62 deg, I = 54
- 15.12 deg, I = 22
- 22.76 deg, I = 27
- 28.03 deg, I = 46
- 29.58 deg, I = 72
- 32.42 deg, I = 30
- 33.84 deg, I = 37
- 37.82 deg, I = 25
- 46.48 deg, I = 57


[3]
Diffraction record for Li2HfTlBr8. The powder XRD pattern is theoretical, not measured: it uses a PBE-relaxed structure and Cu Ka.
Lines closer than 0.1° are merged.

```
data_Li2HfTlBr8
_chemical_formula_sum 'Li2 Hf1 Tl1 Br8'
_cell_length_a 6.025
_cell_length_b 6.762
_cell_length_c 9.176
_cell_angle_alpha 90.02
_cell_angle_beta 90.14
_cell_angle_gamma 91.69
_space_group_name_H-M_alt 'P 1'
_space_group_IT_number 1
_space_group_name_Hall 'P 1'
loop_
_atom_site_label
_atom_site_type_symbol
_atom_site_fract_x
_atom_site_fract_y
_atom_site_fract_z
Li1 Li 0.000 0.000 0.224
Li2 Li 0.000 0.000 0.776
Hf1 Hf 0.500 0.500 0.000
Tl1 Tl 0.500 0.500 0.500
Br1 Br 0.246 0.028 0.500
Br2 Br 0.246 0.173 0.000
Br3 Br 0.256 0.655 0.797
Br4 Br 0.257 0.656 0.203
Br5 Br 0.743 0.344 0.797
Br6 Br 0.744 0.345 0.203
Br7 Br 0.754 0.827 0.000
Br8 Br 0.754 0.972 0.500
```

Most intense lines, 2θ = 10–80°, sorted by position:
- 13.10 deg, I = 45
- 14.71 deg, I = 50
- 19.35 deg, I = 35
- 20.03 deg, I = 46
- 24.39 deg, I = 31
- 27.57 deg, I = 100
- 30.72 deg, I = 47
- 32.92 deg, I = 26
- 37.83 deg, I = 46
- 38.47 deg, I = 41


[4]
Diffraction record for HfV2MoBr. The powder XRD pattern is theoretical, not measured: it uses a PBE-relaxed structure and Cu Ka.
Lines closer than 0.1° are merged.

```
data_HfV2MoBr
_chemical_formula_sum 'Hf1 V2 Mo1 Br1'
_cell_length_a 4.613
_cell_length_b 4.613
_cell_length_c 4.940
_cell_angle_alpha 90.00
_cell_angle_beta 90.00
_cell_angle_gamma 90.00
_space_group_name_H-M_alt 'P 1'
_space_group_IT_number 1
_space_group_name_Hall 'P 1'
loop_
_atom_site_label
_atom_site_type_symbol
_atom_site_fract_x
_atom_site_fract_y
_atom_site_fract_z
Hf1 Hf 0.000 0.000 0.000
V1 V 0.000 0.500 0.500
V2 V 0.500 0.000 0.500
Mo1 Mo 0.500 0.500 0.500
Br1 Br 0.500 0.500 0.000
```

Most intense lines, 2θ = 10–80°, sorted by position:
- 26.44 deg, I = 95
- 27.34 deg, I = 77
- 32.91 deg, I = 100
- 36.37 deg, I = 58
- 39.05 deg, I = 95
- 46.10 deg, I = 38
- 47.78 deg, I = 38
- 54.43 deg, I = 71
- 56.42 deg, I = 32
- 69.01 deg, I = 34


[5]
Diffraction record for Sr2HfBr2N2. The powder XRD pattern is theoretical, not measured: it uses a PBE-relaxed structure and Cu Ka.
Lines closer than 0.1° are merged.

```
data_Sr2HfBr2N2
_chemical_formula_sum 'Sr2 Hf1 Br2 N2'
_cell_length_a 8.925
_cell_length_b 8.925
_cell_length_c 8.925
_cell_angle_alpha 151.95
_cell_angle_beta 151.95
_cell_angle_gamma 40.09
_space_group_name_H-M_alt 'P 1'
_space_group_IT_number 1
_space_group_name_Hall 'P 1'
loop_
_atom_site_label
_atom_site_type_symbol
_atom_site_fract_x
_atom_site_fract_y
_atom_site_fract_z
Sr1 Sr 0.096 0.096 0.000
Sr2 Sr 0.904 0.904 0.000
Hf1 Hf 0.500 0.500 0.000
Br1 Br 0.329 0.329 0.000
Br2 Br 0.671 0.671 0.000
N1 N 0.000 0.500 0.500
N2 N 0.500 0.000 0.500
```

Most intense lines, 2θ = 10–80°, sorted by position:
- 10.55 deg, I = 59
- 21.21 deg, I = 18
- 29.19 deg, I = 85
- 33.82 deg, I = 100
- 41.76 deg, I = 40
- 43.17 deg, I = 31
- 54.77 deg, I = 53
- 61.62 deg, I = 20
- 68.60 deg, I = 15
- 71.16 deg, I = 18


[6]
Diffraction record for HfNbBr2. The powder XRD pattern is theoretical, not measured: it uses a PBE-relaxed structure and Cu Ka.
Lines closer than 0.1° are merged.

```
data_HfNbBr2
_chemical_formula_sum 'Hf2 Nb2 Br4'
_cell_length_a 3.407
_cell_length_b 6.126
_cell_length_c 10.540
_cell_angle_alpha 97.84
_cell_angle_beta 94.51
_cell_angle_gamma 106.07
_space_group_name_H-M_alt 'P 1'
_space_group_IT_number 1
_space_group_name_Hall 'P 1'
loop_
_atom_site_label
_atom_site_type_symbol
_atom_site_fract_x
_atom_site_fract_y
_atom_site_fract_z
Hf1 Hf 0.000 0.000 0.000
Hf2 Hf 0.202 0.248 0.322
Nb1 Nb 0.431 0.773 0.186
Nb2 Nb 0.720 0.383 0.119
Br1 Br 0.013 0.838 0.389
Br2 Br 0.221 0.472 0.941
Br3 Br 0.415 0.932 0.792
Br4 Br 0.805 0.357 0.525
```

Most intense lines, 2θ = 10–80°, sorted by position:
- 30.58 deg, I = 56
- 33.40 deg, I = 56
- 34.32 deg, I = 98
- 35.56 deg, I = 100
- 36.72 deg, I = 67
- 37.29 deg, I = 98
- 38.34 deg, I = 60
- 40.38 deg, I = 58
- 43.90 deg, I = 48
- 54.01 deg, I = 49


[7]
Diffraction record for HfPaBr. The powder XRD pattern is theoretical, not measured: it uses a PBE-relaxed structure and Cu Ka.
Lines closer than 0.1° are merged.

```
data_HfPaBr
_chemical_formula_sum 'Hf2 Pa2 Br2'
_cell_length_a 5.127
_cell_length_b 3.817
_cell_length_c 9.178
_cell_angle_alpha 90.00
_cell_angle_beta 100.05
_cell_angle_gamma 90.00
_space_group_name_H-M_alt 'P 1'
_space_group_IT_number 1
_space_group_name_Hall 'P 1'
loop_
_atom_site_label
_atom_site_type_symbol
_atom_site_fract_x
_atom_site_fract_y
_atom_site_fract_z
Hf1 Hf 0.036 0.250 0.125
Hf2 Hf 0.964 0.750 0.875
Pa1 Pa 0.465 0.250 0.899
Pa2 Pa 0.535 0.750 0.101
Br1 Br 0.296 0.750 0.645
Br2 Br 0.704 0.250 0.355
```

Most intense lines, 2θ = 10–80°, sorted by position:
- 31.99 deg, I = 77
- 33.72 deg, I = 76
- 35.21 deg, I = 53
- 35.56 deg, I = 21
- 37.31 deg, I = 81
- 39.85 deg, I = 100
- 47.65 deg, I = 25
- 60.61 deg, I = 23
- 62.81 deg, I = 16
- 63.84 deg, I = 17


[8]
Diffraction record for RbHf2Br9. The powder XRD pattern is theoretical, not measured: it uses a PBE-relaxed structure and Cu Ka.
Lines closer than 0.1° are merged.

```
data_RbHf2Br9
_chemical_formula_sum 'Rb2 Hf4 Br18'
_cell_length_a 10.589
_cell_length_b 7.423
_cell_length_c 13.200
_cell_angle_alpha 90.00
_cell_angle_beta 115.32
_cell_angle_gamma 90.00
_space_group_name_H-M_alt 'P 1'
_space_group_IT_number 1
_space_group_name_Hall 'P 1'
loop_
_atom_site_label
_atom_site_type_symbol
_atom_site_fract_x
_atom_site_fract_y
_atom_site_fract_z
Rb1 Rb 0.000 0.055 0.250
Rb2 Rb 0.000 0.945 0.750
Hf1 Hf 0.320 0.219 0.635
Hf2 Hf 0.320 0.781 0.135
Hf3 Hf 0.680 0.219 0.865
Hf4 Hf 0.680 0.781 0.365
Br1 Br 0.123 0.361 0.666
Br2 Br 0.123 0.639 0.166
Br3 Br 0.203 0.082 0.064
Br4 Br 0.203 0.918 0.564
Br5 Br 0.271 0.358 0.448
Br6 Br 0.271 0.642 0.948
Br7 Br 0.431 0.081 0.850
Br8 Br 0.431 0.919 0.350
Br9 Br 0.500 0.491 0.750
Br10 Br 0.500 0.509 0.250
Br11 Br 0.569 0.081 0.650
Br12 Br 0.569 0.919 0.150
Br13 Br 0.729 0.358 0.052
Br14 Br 0.729 0.642 0.552
Br15 Br 0.797 0.082 0.436
Br16 Br 0.797 0.918 0.936
Br17 Br 0.877 0.361 0.834
Br18 Br 0.877 0.639 0.334
```

Most intense lines, 2θ = 10–80°, sorted by position:
- 13.73 deg, I = 54
- 14.05 deg, I = 79
- 14.98 deg, I = 100
- 27.93 deg, I = 52
- 28.16 deg, I = 57
- 29.84 deg, I = 57
- 37.05 deg, I = 29
- 37.54 deg, I = 25
- 39.67 deg, I = 28
- 42.92 deg, I = 31


[9]
Diffraction record for Rb2Hf3Br9. The powder XRD pattern is theoretical, not measured: it uses a PBE-relaxed structure and Cu Ka.
Lines closer than 0.1° are merged.

```
data_Rb2Hf3Br9
_chemical_formula_sum 'Rb4 Hf6 Br18'
_cell_length_a 10.786
_cell_length_b 10.786
_cell_length_c 10.586
_cell_angle_alpha 103.15
_cell_angle_beta 103.15
_cell_angle_gamma 117.22
_space_group_name_H-M_alt 'P 1'
_space_group_IT_number 1
_space_group_name_Hall 'P 1'
loop_
_atom_site_label
_atom_site_type_symbol
_atom_site_fract_x
_atom_site_fract_y
_atom_site_fract_z
Rb1 Rb 0.059 0.733 0.678
Rb2 Rb 0.267 0.941 0.322
Rb3 Rb 0.733 0.059 0.678
Rb4 Rb 0.941 0.267 0.322
Hf1 Hf 0.279 0.454 0.859
Hf2 Hf 0.371 0.371 0.136
Hf3 Hf 0.454 0.279 0.859
Hf4 Hf 0.546 0.721 0.141
Hf5 Hf 0.629 0.629 0.864
Hf6 Hf 0.721 0.546 0.141
Br1 Br 0.004 0.393 0.678
Br2 Br 0.098 0.305 0.983
Br3 Br 0.185 0.185 0.670
Br4 Br 0.226 0.226 0.287
Br5 Br 0.295 0.705 0.000
Br6 Br 0.305 0.098 0.983
Br7 Br 0.380 0.584 0.685
Br8 Br 0.393 0.004 0.678
Br9 Br 0.416 0.620 0.315
Br10 Br 0.584 0.380 0.685
Br11 Br 0.607 0.996 0.322
Br12 Br 0.620 0.416 0.315
Br13 Br 0.695 0.902 0.017
Br14 Br 0.705 0.295 0.000
Br15 Br 0.774 0.774 0.713
Br16 Br 0.815 0.815 0.330
Br17 Br 0.902 0.695 0.017
Br18 Br 0.996 0.607 0.322
```

Most intense lines, 2θ = 10–80°, sorted by position:
- 10.72 deg, I = 100
- 13.38 deg, I = 32
- 28.77 deg, I = 38
- 29.44 deg, I = 60
- 30.38 deg, I = 59
- 34.23 deg, I = 75
- 37.57 deg, I = 30
- 39.05 deg, I = 40
- 42.97 deg, I = 32
- 47.37 deg, I = 65


[10]
Diffraction record for Rb2HfTeBr6. The powder XRD pattern is theoretical, not measured: it uses a PBE-relaxed structure and Cu Ka.
Lines closer than 0.1° are merged.

```
data_Rb2HfTeBr6
_chemical_formula_sum 'Rb2 Hf1 Te1 Br6'
_cell_length_a 8.347
_cell_length_b 8.347
_cell_length_c 8.347
_cell_angle_alpha 114.64
_cell_angle_beta 114.64
_cell_angle_gamma 99.56
_space_group_name_H-M_alt 'P 1'
_space_group_IT_number 1
_space_group_name_Hall 'P 1'
loop_
_atom_site_label
_atom_site_type_symbol
_atom_site_fract_x
_atom_site_fract_y
_atom_site_fract_z
Rb1 Rb 0.250 0.750 0.500
Rb2 Rb 0.750 0.250 0.500
Hf1 Hf 0.000 0.000 0.000
Te1 Te 0.500 0.500 0.000
Br1 Br 0.206 0.206 0.411
Br2 Br 0.206 0.794 0.000
Br3 Br 0.243 0.243 0.000
Br4 Br 0.757 0.757 0.000
Br5 Br 0.794 0.206 0.000
Br6 Br 0.794 0.794 0.589
```

Most intense lines, 2θ = 10–80°, sorted by position:
- 12.80 deg, I = 36
- 13.89 deg, I = 68
- 19.70 deg, I = 39
- 21.59 deg, I = 55
- 25.77 deg, I = 33
- 28.00 deg, I = 100
- 33.25 deg, I = 38
- 40.01 deg, I = 30
- 44.01 deg, I = 57
- 52.97 deg, I = 31


[11]
Diffraction record for Rb2HfTlBr6. The powder XRD pattern is theoretical, not measured: it uses a PBE-relaxed structure and Cu Ka.
Lines closer than 0.1° are merged.

```
data_Rb2HfTlBr6
_chemical_formula_sum 'Rb2 Hf1 Tl1 Br6'
_cell_length_a 8.284
_cell_length_b 8.284
_cell_length_c 8.284
_cell_angle_alpha 60.00
_cell_angle_beta 60.00
_cell_angle_gamma 60.00
_space_group_name_H-M_alt 'P 1'
_space_group_IT_number 1
_space_group_name_Hall 'P 1'
loop_
_atom_site_label
_atom_site_type_symbol
_atom_site_fract_x
_atom_site_fract_y
_atom_site_fract_z
Rb1 Rb 0.250 0.250 0.250
Rb2 Rb 0.750 0.750 0.750
Hf1 Hf 0.000 0.000 0.000
Tl1 Tl 0.500 0.500 0.500
Br1 Br 0.228 0.228 0.772
Br2 Br 0.228 0.772 0.228
Br3 Br 0.228 0.772 0.772
Br4 Br 0.772 0.228 0.228
Br5 Br 0.772 0.228 0.772
Br6 Br 0.772 0.772 0.228
```

Most intense lines, 2θ = 10–80°, sorted by position:
- 15.13 deg, I = 71
- 21.45 deg, I = 72
- 30.52 deg, I = 100
- 34.23 deg, I = 34
- 37.61 deg, I = 31
- 43.71 deg, I = 70
- 49.19 deg, I = 20
- 54.25 deg, I = 23
- 59.00 deg, I = 21
- 72.11 deg, I = 28


[12]
Diffraction record for Rb2HfTlBr6. The powder XRD pattern is theoretical, not measured: it uses a PBE-relaxed structure and Cu Ka.
Lines closer than 0.1° are merged.

```
data_Rb2HfTlBr6
_chemical_formula_sum 'Rb4 Hf2 Tl2 Br12'
_cell_length_a 16.913
_cell_length_b 16.913
_cell_length_c 16.913
_cell_angle_alpha 26.43
_cell_angle_beta 26.43
_cell_angle_gamma 26.43
_space_group_name_H-M_alt 'P 1'
_space_group_IT_number 1
_space_group_name_Hall 'P 1'
loop_
_atom_site_label
_atom_site_type_symbol
_atom_site_fract_x
_atom_site_fract_y
_atom_site_fract_z
Rb1 Rb 0.142 0.142 0.142
Rb2 Rb 0.310 0.310 0.310
Rb3 Rb 0.690 0.690 0.690
Rb4 Rb 0.858 0.858 0.858
Hf1 Hf 0.000 0.000 0.000
Hf2 Hf 0.500 0.500 0.500
Tl1 Tl 0.416 0.416 0.416
Tl2 Tl 0.584 0.584 0.584
Br1 Br 0.144 0.629 0.629
Br2 Br 0.193 0.193 0.709
Br3 Br 0.193 0.709 0.193
Br4 Br 0.291 0.807 0.807
Br5 Br 0.371 0.371 0.856
Br6 Br 0.371 0.856 0.371
Br7 Br 0.629 0.144 0.629
Br8 Br 0.629 0.629 0.144
Br9 Br 0.709 0.193 0.193
Br10 Br 0.807 0.291 0.807
Br11 Br 0.807 0.807 0.291
Br12 Br 0.856 0.371 0.371
```

Most intense lines, 2θ = 10–80°, sorted by position:
- 10.85 deg, I = 46
- 13.35 deg, I = 38
- 13.71 deg, I = 95
- 16.04 deg, I = 28
- 23.01 deg, I = 53
- 29.58 deg, I = 100
- 31.90 deg, I = 66
- 33.50 deg, I = 62
- 37.19 deg, I = 30
- 47.01 deg, I = 57


[13]
Diffraction record for Rb2HfWBr6. The powder XRD pattern is theoretical, not measured: it uses a PBE-relaxed structure and Cu Ka.
Lines closer than 0.1° are merged.

```
data_Rb2HfWBr6
_chemical_formula_sum 'Rb2 Hf1 W1 Br6'
_cell_length_a 7.487
_cell_length_b 7.487
_cell_length_c 7.487
_cell_angle_alpha 60.00
_cell_angle_beta 60.00
_cell_angle_gamma 60.00
_space_group_name_H-M_alt 'P 1'
_space_group_IT_number 1
_space_group_name_Hall 'P 1'
loop_
_atom_site_label
_atom_site_type_symbol
_atom_site_fract_x
_atom_site_fract_y
_atom_site_fract_z
Rb1 Rb 0.250 0.250 0.250
Rb2 Rb 0.750 0.750 0.750
Hf1 Hf 0.000 0.000 0.000
W1 W 0.500 0.500 0.500
Br1 Br 0.252 0.252 0.748
Br2 Br 0.252 0.748 0.252
Br3 Br 0.252 0.748 0.748
Br4 Br 0.748 0.252 0.252
Br5 Br 0.748 0.252 0.748
Br6 Br 0.748 0.748 0.252
```

Most intense lines, 2θ = 10–80°, sorted by position:
- 16.75 deg, I = 65
- 23.77 deg, I = 63
- 29.22 deg, I = 19
- 33.87 deg, I = 100
- 38.01 deg, I = 34
- 41.80 deg, I = 29
- 48.65 deg, I = 71
- 51.81 deg, I = 18
- 60.59 deg, I = 24
- 66.03 deg, I = 15